1.
# AsIF12
Theoretical powder XRD pattern, Cu Kα. Input: the GGA-PBE geometry in the Materials Project.
No peak broadening, texture or thermal motion is included.

Most intense lines, 2θ = 5–70°, in order of rising 2θ:
h k l, 2θ/deg, intensity
2 0 0, 18.4, 100
2 2 0, 26.2, 49
2 2 2, 32.2, 18
4 2 0, 42.0, 15
3 3 2, 44.1, 5
4 2 2, 46.2, 21
4 4 0, 53.9, 11
4 4 2, 57.4, 17
6 2 0, 60.9, 10
6 2 2, 64.2, 9

Structure:
```
56
Lattice="9.6258 0.0000 0.0000 0.0000 9.6258 0.0000 0.0000 0.0000 9.6258" Properties=species:S:1:pos:R:3 pbc="T T T"
As 0.0000 0.0000 0.0000
As 0.0000 4.8129 4.8129
As 4.8129 0.0000 4.8129
As 4.8129 4.8129 0.0000
I 0.0000 0.0000 4.8129
I 0.0000 4.8129 0.0000
I 4.8129 0.0000 0.0000
I 4.8129 4.8129 4.8129
F 0.5734 5.7999 3.4504
F 0.5734 8.6387 8.2633
F 0.5972 1.1168 6.1298
F 0.5972 3.6961 1.3169
F 0.9871 1.3625 9.0524
F 0.9871 3.4504 4.2395
F 1.1168 6.1298 0.5972
F 1.1168 8.3088 5.4101
F 1.3169 0.5972 3.6961
F 1.3169 4.2157 8.5090
F 1.3625 5.3863 5.7999
F 1.3625 9.0524 0.9871
F 3.4504 0.5734 5.7999
F 3.4504 4.2395 0.9871
F 3.4959 5.4101 3.6961
F 3.4959 9.0285 8.5090
F 3.6961 1.3169 0.5972
F 3.6961 3.4959 5.4101
F 3.8258 6.1754 9.0524
F 3.8258 8.2633 4.2395
F 4.2157 5.9297 6.1298
F 4.2157 8.5090 1.3169
F 4.2395 0.9871 3.4504
F 4.2395 3.8258 8.2633
F 5.3863 5.7999 1.3625
F 5.3863 8.6387 6.1754
F 5.4101 1.1168 8.3088
F 5.4101 3.6961 3.4959
F 5.7999 1.3625 5.3863
F 5.7999 3.4504 0.5734
F 5.9297 6.1298 4.2157
F 5.9297 8.3088 9.0285
F 6.1298 0.5972 1.1168
F 6.1298 4.2157 5.9297
F 6.1754 5.3863 8.6387
F 6.1754 9.0524 3.8258
F 8.2633 0.5734 8.6387
F 8.2633 4.2395 3.8258
F 8.3088 5.4101 1.1168
F 8.3088 9.0285 5.9297
F 8.5090 1.3169 4.2157
F 8.5090 3.4959 9.0285
F 8.6387 6.1754 5.3863
F 8.6387 8.2633 0.5734
F 9.0285 5.9297 8.3088
F 9.0285 8.5090 3.4959
F 9.0524 0.9871 1.3625
F 9.0524 3.8258 6.1754
```


2.
# KPdF3
Theoretical powder XRD pattern, Cu Kα. Input: the GGA-PBE geometry in the Materials Project.
No peak broadening, texture or thermal motion is included.

Most intense lines, 2θ = 5–70°, in order of rising 2θ:
h k l, 2θ/deg, intensity
1 0 0, 20.6, 55
1 1 0, 29.3, 100
2 0 0, 41.9, 47
2 1 0, 47.2, 24
2 1 1, 52.0, 39
2 2 0, 60.8, 28
3 0 0, 64.9, 11
3 1 0, 68.9, 17

Structure:
```
5
Lattice="4.3093 0.0000 0.0000 0.0000 4.3093 0.0000 0.0000 0.0000 4.3093" Properties=species:S:1:pos:R:3 pbc="T T T"
K 0.0000 0.0000 0.0000
Pd 2.1546 2.1546 2.1546
F 0.0000 2.1546 2.1546
F 2.1546 0.0000 2.1546
F 2.1546 2.1546 0.0000
```


3.
# SmU2Se5
Theoretical powder XRD pattern, Cu Kα. Input: the GGA-PBE geometry in the Materials Project.
No peak broadening, texture or thermal motion is included.

Most intense lines, 2θ = 5–70°, in order of rising 2θ:
h k l, 2θ/deg, intensity
0 0 2, 22.8, 39
3 0 1, 24.3, 65
2 2 0, 25.9, 47
3 2 1, 32.7, 63
2 2 2, 34.8, 100
4 2 0, 36.2, 36
3 0 3, 40.9, 32
0 4 0, 43.9, 36
5 2 1, 44.0, 51
3 4 1, 50.8, 33

Structure:
```
32
Lattice="12.4425 0.0000 0.0000 0.0000 8.2533 0.0000 0.0000 0.0000 7.8065" Properties=species:S:1:pos:R:3 pbc="T T T"
Sm 0.0693 2.0633 0.6349
Sm 6.1519 6.1900 4.5381
Sm 6.2906 2.0633 3.2684
Sm 12.3732 6.1900 7.1717
U 2.2554 0.0019 4.0120
U 2.2554 4.1248 4.0120
U 3.9658 8.2514 0.1087
U 3.9658 4.1285 0.1087
U 8.4766 0.0019 7.6978
U 8.4766 4.1248 7.6978
U 10.1871 8.2514 3.7946
U 10.1871 4.1285 3.7946
Se 12.4390 2.0633 3.6715
Se 0.0035 6.1900 4.1350
Se 1.3312 4.4934 1.2898
Se 1.3312 7.8866 1.2898
Se 2.2966 2.0633 6.4354
Se 2.6967 6.1900 6.2133
Se 3.5246 2.0633 2.3101
Se 3.9246 6.1900 2.5322
Se 4.8901 0.3667 5.1931
Se 4.8901 3.7599 5.1931
Se 6.2177 2.0633 0.2317
Se 6.2248 6.1900 7.5748
Se 7.5524 4.4934 2.6135
Se 7.5524 7.8866 2.6135
Se 8.5179 2.0633 5.2744
Se 8.9179 6.1900 5.4965
Se 9.7458 2.0633 1.5932
Se 10.1458 6.1900 1.3711
Se 11.1113 0.3667 6.5167
Se 11.1113 3.7599 6.5167
```